Theoretical X-ray diffraction stick pattern
Compound: Tb3Nd7In
Radiation: Cu Kα (weighted mean of Kα1 and Kα2)
Structure: a PBE-relaxed structure

```
data_Tb3Nd7In
_chemical_formula_sum 'Tb3 Nd7 In1'
_cell_length_a 7.1197
_cell_length_b 7.1197
_cell_length_c 8.6541
_cell_angle_alpha 90.00
_cell_angle_beta 90.00
_cell_angle_gamma 120.00
_space_group_name_H-M_alt 'P 3 m 1'
_space_group_IT_number 156
loop_
_space_group_symop_operation_xyz
'x,y,z'
'-y,x-y,z'
'-x+y,-x,z'
'-y,-x,z'
'-x+y,y,z'
'x,x-y,z'
loop_
_atom_site_label
_atom_site_fract_x
_atom_site_fract_y
_atom_site_fract_z
Tb1 0.9999 0.5000 0.0000
Nd1 0.1690 0.3380 0.6613
Nd2 0.3377 0.1688 0.3302
Nd3 0.6667 0.3333 0.6702
In1 0.3333 0.6667 0.3214
```

Principal peaks in the range 10 to 90 degrees two-theta, in order of rising 2θ:
- 30.79 deg, d 2.904, I = 100.0, hkl 2 0 1
- 31.00 deg, d 2.885, I = 32.5, hkl 0 0 3
- 35.76 deg, d 2.511, I = 66.8, hkl 0 2 2
- 51.33 deg, d 1.780, I = 23.8, hkl 2 2 0
- 51.61 deg, d 1.771, I = 23.4, hkl 2 0 4
- 61.06 deg, d 1.518, I = 14.1, hkl 0 4 1
- 61.19 deg, d 1.515, I = 27.8, hkl 2 2 3
- 61.43 deg, d 1.509, I = 13.7, hkl 0 2 5
- 64.13 deg, d 1.452, I = 12.1, hkl 4 0 2
- 83.76 deg, d 1.155, I = 11.6, hkl 4 2 1

Theoretical X-ray diffraction stick pattern
Compound: Tb12Nd7In
Radiation: Cu Kα (weighted mean of Kα1 and Kα2)
Structure: a PBE-relaxed structure

```
data_Tb12Nd7In
_chemical_formula_sum 'Tb36 Nd21 In3'
_cell_length_a 12.3437
_cell_length_b 12.3437
_cell_length_c 15.4782
_cell_angle_alpha 90.00
_cell_angle_beta 90.00
_cell_angle_gamma 120.00
_space_group_name_H-M_alt 'R -3'
_space_group_IT_number 148
_space_group_name_Hall '-R 3'
loop_
_atom_site_label
_atom_site_fract_x
_atom_site_fract_y
_atom_site_fract_z
Tb1 0.0323 0.1863 0.3092
Tb2 0.0701 0.8116 0.9245
Nd1 0.0000 0.0000 0.5000
Nd2 0.0105 0.4330 0.2017
In1 0.0000 0.0000 0.0000
```

Principal peaks in the range 10 to 90 degrees two-theta, in order of rising 2θ:
- 30.05 deg, d 2.973, I = 29.2, hkl 0 1 5
- 30.49 deg, d 2.932, I = 27.6, hkl 0 3 3
- 30.70 deg, d 2.912, I = 100.0, hkl 4 -3 1
- 32.03 deg, d 2.795, I = 69.0, hkl 3 -1 4
- 32.34 deg, d 2.769, I = 46.4, hkl 3 1 2
- 33.45 deg, d 2.679, I = 25.4, hkl 2 0 5
- 38.55 deg, d 2.335, I = 12.0, hkl 2 3 2
- 52.43 deg, d 1.745, I = 12.9, hkl 3 -2 8
- 52.92 deg, d 1.730, I = 16.7, hkl 1 4 6
- 53.50 deg, d 1.713, I = 19.4, hkl 2 5 0

Theoretical X-ray diffraction stick pattern
Compound: Tb4Nd4In
Radiation: Cu Kα (weighted mean of Kα1 and Kα2)
Structure: a PBE-relaxed structure

```
data_Tb4Nd4In
_chemical_formula_sum 'Tb8 Nd8 In2'
_cell_length_a 10.7987
_cell_length_b 10.7987
_cell_length_c 4.9702
_cell_angle_alpha 90.00
_cell_angle_beta 90.00
_cell_angle_gamma 90.00
_space_group_name_H-M_alt 'I 4/m m m'
_space_group_IT_number 139
_space_group_name_Hall '-I 4 2'
loop_
_atom_site_label
_atom_site_fract_x
_atom_site_fract_y
_atom_site_fract_z
Tb1 0.0000 0.3352 0.0000
Nd1 0.1613 0.1613 0.5000
In1 0.0000 0.0000 0.0000
```

Principal peaks in the range 10 to 90 degrees two-theta, in order of rising 2θ:
- 30.67 deg, d 2.915, I = 100.0, hkl 3 0 1
- 35.26 deg, d 2.545, I = 34.3, hkl 3 3 0
- 36.14 deg, d 2.485, I = 16.2, hkl 0 0 2
- 50.72 deg, d 1.800, I = 12.1, hkl 6 0 0
- 51.39 deg, d 1.778, I = 23.5, hkl 3 3 2
- 60.45 deg, d 1.531, I = 28.4, hkl 6 3 1
- 61.63 deg, d 1.505, I = 13.6, hkl 3 0 3
- 63.86 deg, d 1.458, I = 12.1, hkl 6 0 2
- 82.75 deg, d 1.166, I = 5.7, hkl 9 0 1
- 83.78 deg, d 1.155, I = 11.4, hkl 6 3 3

Theoretical X-ray diffraction stick pattern
Compound: Tb5Nd2In
Radiation: Cu Kα (weighted mean of Kα1 and Kα2)
Structure: a PBE-relaxed structure

```
data_Tb5Nd2In
_chemical_formula_sum 'Tb10 Nd4 In2'
_cell_length_a 4.9378
_cell_length_b 4.9378
_cell_length_c 20.4728
_cell_angle_alpha 90.00
_cell_angle_beta 90.00
_cell_angle_gamma 90.00
_space_group_name_H-M_alt 'I 4/m m m'
_space_group_IT_number 139
_space_group_name_Hall '-I 4 2'
loop_
_atom_site_label
_atom_site_fract_x
_atom_site_fract_y
_atom_site_fract_z
Tb1 0.0000 0.0000 0.0000
Tb2 0.0000 0.5000 0.1191
Nd1 0.0000 0.0000 0.2450
In1 0.0000 0.0000 0.5000
```

Principal peaks in the range 10 to 90 degrees two-theta, in order of rising 2θ:
- 31.01 deg, d 2.884, I = 100.0, hkl 1 1 4
- 35.07 deg, d 2.559, I = 17.2, hkl 0 0 8
- 36.39 deg, d 2.469, I = 33.1, hkl 2 0 0
- 51.43 deg, d 1.777, I = 23.1, hkl 2 0 8
- 52.41 deg, d 1.746, I = 11.6, hkl 2 2 0
- 60.39 deg, d 1.533, I = 13.2, hkl 1 1 12
- 62.15 deg, d 1.494, I = 27.4, hkl 3 1 4
- 64.63 deg, d 1.442, I = 11.6, hkl 2 2 8
- 84.02 deg, d 1.152, I = 10.5, hkl 3 1 12
- 85.58 deg, d 1.135, I = 5.7, hkl 3 3 4

Theoretical X-ray diffraction stick pattern
Compound: TbNd3In3
Radiation: Cu Kα (weighted mean of Kα1 and Kα2)
Structure: a PBE-relaxed structure

```
data_TbNd3In3
_chemical_formula_sum 'Tb4 Nd12 In12'
_cell_length_a 9.5414
_cell_length_b 9.5414
_cell_length_c 9.5414
_cell_angle_alpha 90.00
_cell_angle_beta 90.00
_cell_angle_gamma 90.00
_space_group_name_H-M_alt 'P 21 3'
_space_group_IT_number 198
_space_group_name_Hall 'P 2ac 2ab 3'
loop_
_atom_site_label
_atom_site_fract_x
_atom_site_fract_y
_atom_site_fract_z
Tb1 0.0760 0.4240 0.5760
Nd1 0.0705 0.5705 0.9295
Nd2 0.1720 0.1720 0.1720
Nd3 0.1755 0.8245 0.3245
In1 0.0023 0.7454 0.6309
```

Principal peaks in the range 10 to 90 degrees two-theta, in order of rising 2θ:
- 29.61 deg, d 3.017, I = 100.0, hkl 3 0 1
- 35.19 deg, d 2.550, I = 73.5, hkl 3 1 2
- 42.36 deg, d 2.134, I = 10.1, hkl 4 2 0
- 46.63 deg, d 1.948, I = 19.7, hkl 4 2 2
- 48.66 deg, d 1.871, I = 21.5, hkl 4 3 1
- 59.74 deg, d 1.548, I = 25.9, hkl 6 1 1
- 61.46 deg, d 1.509, I = 12.4, hkl 6 0 2
- 63.15 deg, d 1.472, I = 15.3, hkl 5 4 1
- 72.85 deg, d 1.298, I = 13.2, hkl 5 5 2
- 88.06 deg, d 1.109, I = 10.5, hkl 7 3 4

Theoretical X-ray diffraction stick pattern
Compound: Tb2Nd6In3
Radiation: Cu Kα (weighted mean of Kα1 and Kα2)
Structure: a PBE-relaxed structure

```
data_Tb2Nd6In3
_chemical_formula_sum 'Tb4 Nd12 In6'
_cell_length_a 5.4770
_cell_length_b 5.4770
_cell_length_c 24.7166
_cell_angle_alpha 90.00
_cell_angle_beta 90.00
_cell_angle_gamma 90.00
_space_group_name_H-M_alt 'I 4/m m m'
_space_group_IT_number 139
_space_group_name_Hall '-I 4 2'
loop_
_atom_site_label
_atom_site_fract_x
_atom_site_fract_y
_atom_site_fract_z
Tb1 0.0000 0.0000 0.0578
Nd1 0.0000 0.0000 0.1981
Nd2 0.0000 0.5000 0.0988
In1 0.0000 0.0000 0.3264
In2 0.0000 0.0000 0.5000
```

Principal peaks in the range 10 to 90 degrees two-theta, in order of rising 2θ:
- 27.17 deg, d 3.282, I = 50.7, hkl 1 1 4
- 30.11 deg, d 2.968, I = 44.2, hkl 1 0 7
- 31.71 deg, d 2.822, I = 52.7, hkl 1 1 6
- 32.70 deg, d 2.738, I = 100.0, hkl 2 0 0
- 37.23 deg, d 2.415, I = 34.7, hkl 1 1 8
- 45.05 deg, d 2.013, I = 29.2, hkl 2 1 7
- 46.92 deg, d 1.936, I = 36.4, hkl 2 2 0
- 57.74 deg, d 1.597, I = 18.7, hkl 3 1 6
- 61.36 deg, d 1.511, I = 16.1, hkl 3 1 8
- 78.02 deg, d 1.225, I = 16.1, hkl 4 2 0

Theoretical X-ray diffraction stick pattern
Compound: Tb2Nd2In5
Radiation: Cu Kα (weighted mean of Kα1 and Kα2)
Structure: a PBE-relaxed structure

```
data_Tb2Nd2In5
_chemical_formula_sum 'Tb8 Nd8 In20'
_cell_length_a 14.3014
_cell_length_b 7.2652
_cell_length_c 10.1478
_cell_angle_alpha 90.00
_cell_angle_beta 90.00
_cell_angle_gamma 90.00
_space_group_name_H-M_alt 'I m a 2'
_space_group_IT_number 46
loop_
_space_group_symop_operation_xyz
'x,y,z'
'-x,-y,z'
'-x+1/2,y,z'
'x+1/2,-y,z'
'x+1/2,y+1/2,z+1/2'
'-x+1/2,-y+1/2,z+1/2'
'-x,y+1/2,z+1/2'
'x,-y+1/2,z+1/2'
loop_
_atom_site_label
_atom_site_fract_x
_atom_site_fract_y
_atom_site_fract_z
Tb1 0.0000 0.0000 0.0000
Tb2 0.2500 0.0037 0.1325
Nd1 0.1267 0.5270 0.0656
In1 0.0443 0.6876 0.7777
In2 0.1515 0.2103 0.8414
In3 0.2500 0.6861 0.3509
```

Principal peaks in the range 10 to 90 degrees two-theta, in order of rising 2θ:
- 29.19 deg, d 3.060, I = 100.0, hkl 4 1 1
- 30.26 deg, d 2.954, I = 95.3, hkl 0 2 2
- 31.75 deg, d 2.818, I = 34.6, hkl 2 1 3
- 32.81 deg, d 2.730, I = 23.8, hkl 2 2 2
- 33.68 deg, d 2.661, I = 22.8, hkl 5 1 0
- 35.38 deg, d 2.537, I = 16.7, hkl 0 0 4
- 37.62 deg, d 2.391, I = 26.3, hkl 2 0 4
- 38.18 deg, d 2.357, I = 37.4, hkl 5 1 2
- 40.31 deg, d 2.237, I = 23.1, hkl 2 3 1
- 46.15 deg, d 1.967, I = 21.0, hkl 4 3 1

Theoretical X-ray diffraction stick pattern
Compound: TbNdIn
Radiation: Cu Kα (weighted mean of Kα1 and Kα2)
Structure: a PBE-relaxed structure

```
data_TbNdIn
_chemical_formula_sum 'Tb4 Nd4 In4'
_cell_length_a 3.5246
_cell_length_b 3.5246
_cell_length_c 29.9760
_cell_angle_alpha 90.00
_cell_angle_beta 90.00
_cell_angle_gamma 90.00
_space_group_name_H-M_alt 'I 4/m m m'
_space_group_IT_number 139
_space_group_name_Hall '-I 4 2'
loop_
_atom_site_label
_atom_site_fract_x
_atom_site_fract_y
_atom_site_fract_z
Tb1 0.0000 0.0000 0.2058
Nd1 0.0000 0.0000 0.0607
In1 0.0000 0.0000 0.3672
```

Principal peaks in the range 10 to 90 degrees two-theta, in order of rising 2θ:
- 23.75 deg, d 3.747, I = 6.8, hkl 0 0 8
- 25.45 deg, d 3.501, I = 12.9, hkl 1 0 1
- 29.40 deg, d 3.038, I = 25.9, hkl 1 0 5
- 32.91 deg, d 2.721, I = 100.0, hkl 1 0 7
- 36.02 deg, d 2.493, I = 57.3, hkl 1 1 0
- 51.85 deg, d 1.763, I = 30.5, hkl 2 0 0
- 56.68 deg, d 1.624, I = 10.9, hkl 1 1 14
- 62.82 deg, d 1.479, I = 30.7, hkl 2 1 7
- 64.74 deg, d 1.440, I = 17.5, hkl 1 0 19
- 87.49 deg, d 1.115, I = 20.2, hkl 3 1 0

Theoretical X-ray diffraction stick pattern
Compound: TbNd6In4
Radiation: Cu Kα (weighted mean of Kα1 and Kα2)
Structure: a PBE-relaxed structure

```
data_TbNd6In4
_chemical_formula_sum 'Tb2 Nd12 In8'
_cell_length_a 7.9393
_cell_length_b 7.9393
_cell_length_c 12.0741
_cell_angle_alpha 90.00
_cell_angle_beta 90.00
_cell_angle_gamma 90.00
_space_group_name_H-M_alt 'I -4 2 m'
_space_group_IT_number 121
_space_group_name_Hall 'I -4 2'
loop_
_atom_site_label
_atom_site_fract_x
_atom_site_fract_y
_atom_site_fract_z
Tb1 0.0000 0.0000 0.0000
Nd1 0.0000 0.5000 0.0000
Nd2 0.1890 0.1890 0.7182
In1 0.1606 0.1606 0.4344
```

Principal peaks in the range 10 to 90 degrees two-theta, in order of rising 2θ:
- 26.16 deg, d 3.406, I = 37.8, hkl 2 1 1
- 26.88 deg, d 3.317, I = 64.3, hkl 2 0 2
- 29.59 deg, d 3.019, I = 17.3, hkl 0 0 4
- 31.88 deg, d 2.807, I = 30.0, hkl 2 2 0
- 33.68 deg, d 2.661, I = 100.0, hkl 1 1 4
- 34.70 deg, d 2.585, I = 32.7, hkl 3 0 1
- 35.76 deg, d 2.511, I = 21.1, hkl 3 1 0
- 44.05 deg, d 2.056, I = 26.7, hkl 2 2 4
- 52.70 deg, d 1.737, I = 24.2, hkl 4 1 3
- 60.50 deg, d 1.530, I = 15.2, hkl 4 2 4

Theoretical X-ray diffraction stick pattern
Compound: TbNdTiIn
Radiation: Cu Kα (weighted mean of Kα1 and Kα2)
Structure: a PBE-relaxed structure

```
data_TbNdTiIn
_chemical_formula_sum 'Tb4 Nd4 Ti4 In4'
_cell_length_a 7.5479
_cell_length_b 7.5479
_cell_length_c 7.5479
_cell_angle_alpha 90.00
_cell_angle_beta 90.00
_cell_angle_gamma 90.00
_space_group_name_H-M_alt 'F -4 3 m'
_space_group_IT_number 216
_space_group_name_Hall 'F -4 2 3'
loop_
_atom_site_label
_atom_site_fract_x
_atom_site_fract_y
_atom_site_fract_z
Tb1 0.0000 0.0000 0.0000
Nd1 0.0000 0.0000 0.5000
Ti1 0.2500 0.2500 0.2500
In1 0.2500 0.2500 0.7500
```

Principal peaks in the range 10 to 90 degrees two-theta, in order of rising 2θ:
- 20.38 deg, d 4.358, I = 5.1, hkl 1 1 1
- 23.57 deg, d 3.774, I = 10.4, hkl 2 0 0
- 33.58 deg, d 2.669, I = 100.0, hkl 2 2 0
- 39.60 deg, d 2.276, I = 3.0, hkl 3 1 1
- 41.44 deg, d 2.179, I = 3.3, hkl 2 2 2
- 48.23 deg, d 1.887, I = 17.8, hkl 4 0 0
- 54.36 deg, d 1.688, I = 4.8, hkl 4 2 0
- 60.05 deg, d 1.541, I = 36.6, hkl 4 2 2
- 70.59 deg, d 1.334, I = 11.2, hkl 4 4 0
- 80.48 deg, d 1.193, I = 15.6, hkl 6 2 0

Theoretical X-ray diffraction stick pattern
Compound: Nd6In2Tc
Radiation: Cu Kα (weighted mean of Kα1 and Kα2)
Structure: a PBE-relaxed structure

```
data_Nd6In2Tc
_chemical_formula_sum 'Nd12 In4 Tc2'
_cell_length_a 4.0058
_cell_length_b 15.2780
_cell_length_c 8.8970
_cell_angle_alpha 90.00
_cell_angle_beta 90.00
_cell_angle_gamma 90.00
_space_group_name_H-M_alt 'A m m 2'
_space_group_IT_number 38
loop_
_space_group_symop_operation_xyz
'x,y,z'
'-x,-y,z'
'-x,y,z'
'x,-y,z'
'x,y+1/2,z+1/2'
'-x,-y+1/2,z+1/2'
'-x,y+1/2,z+1/2'
'x,-y+1/2,z+1/2'
loop_
_atom_site_label
_atom_site_fract_x
_atom_site_fract_y
_atom_site_fract_z
Nd1 0.0000 0.0000 0.0000
Nd2 0.0000 0.1168 0.6328
Nd3 0.5000 0.0000 0.3579
Nd4 0.5000 0.1961 0.9489
In1 0.0000 0.1686 0.2533
Tc1 0.5000 0.0000 0.7724
```

Principal peaks in the range 10 to 90 degrees two-theta, in order of rising 2θ:
- 30.08 deg, d 2.971, I = 100.0, hkl 1 0 2
- 30.71 deg, d 2.911, I = 19.8, hkl 0 1 3
- 30.90 deg, d 2.894, I = 46.6, hkl 0 5 1
- 32.28 deg, d 2.774, I = 47.1, hkl 1 2 2
- 32.39 deg, d 2.764, I = 21.5, hkl 1 4 0
- 35.01 deg, d 2.563, I = 27.7, hkl 0 3 3
- 38.38 deg, d 2.346, I = 26.5, hkl 1 5 1
- 45.28 deg, d 2.003, I = 20.0, hkl 2 0 0
- 55.75 deg, d 1.649, I = 15.6, hkl 2 4 2
- 57.28 deg, d 1.608, I = 20.4, hkl 1 8 2

Theoretical X-ray diffraction stick pattern
Compound: Nd5ThIn6
Radiation: Cu Kα (weighted mean of Kα1 and Kα2)
Structure: a PBE-relaxed structure

```
data_Nd5ThIn6
_chemical_formula_sum 'Nd10 Th2 In12'
_cell_length_a 17.3102
_cell_length_b 7.7342
_cell_length_c 5.4810
_cell_angle_alpha 90.00
_cell_angle_beta 108.08
_cell_angle_gamma 90.00
_space_group_name_H-M_alt 'C 1 2/m 1'
_space_group_IT_number 12
loop_
_space_group_symop_operation_xyz
'x,y,z'
'-x,-y,-z'
'-x,y,-z'
'x,-y,z'
'x+1/2,y+1/2,z'
'-x+1/2,-y+1/2,-z'
'-x+1/2,y+1/2,-z'
'x+1/2,-y+1/2,z'
loop_
_atom_site_label
_atom_site_fract_x
_atom_site_fract_y
_atom_site_fract_z
Nd1 0.0000 0.0000 0.0000
Nd2 0.1621 0.5000 0.6627
Nd3 0.1696 0.0000 0.6703
Th1 0.0000 0.5000 0.0000
In1 0.0000 0.2419 0.5000
In2 0.1680 0.2456 0.1687
```

Principal peaks in the range 10 to 90 degrees two-theta, in order of rising 2θ:
- 32.66 deg, d 2.742, I = 100.0, hkl 2 0 -2
- 32.76 deg, d 2.733, I = 49.6, hkl 4 2 -1
- 46.70 deg, d 1.945, I = 9.1, hkl 4 0 2
- 47.01 deg, d 1.933, I = 17.9, hkl 0 4 0
- 58.22 deg, d 1.585, I = 18.7, hkl 0 2 3
- 58.42 deg, d 1.580, I = 37.0, hkl 6 2 -3
- 68.43 deg, d 1.371, I = 11.4, hkl 4 0 -4
- 77.68 deg, d 1.229, I = 8.0, hkl 2 0 4
- 78.15 deg, d 1.223, I = 11.7, hkl 10 0 -4
- 87.17 deg, d 1.118, I = 6.1, hkl 4 4 -4